For NdIn4Ni, a crystal structure in the Materials Project, relaxed with PBE gives the simulated powder XRD pattern in this record (λ = 1.5418 Å (Cu Kα)).
Peak positions follow from Bragg's law for the DFT cell and can differ from measured ones.

Top 10 peaks for 2θ = 10–80°, most intense first:
2θ 32.11, intensity 1000
2θ 33.28, intensity 656
2θ 39.99, intensity 372
2θ 35.57, intensity 367
2θ 40.74, intensity 292
2θ 58.41, intensity 195
2θ 34.37, intensity 193
2θ 32.63, intensity 168
2θ 50.30, intensity 132
2θ 61.66, intensity 117

```
data_NdIn4Ni
_symmetry_space_group_name_H-M 'C m c m'
_symmetry_Int_Tables_number 63
_symmetry_space_group_name_Hall '-C 2c 2'
_cell_length_a 4.509
_cell_length_b 16.780
_cell_length_c 7.255
_cell_angle_alpha 90.00
_cell_angle_beta 90.00
_cell_angle_gamma 90.00
loop_
_atom_site_label
_atom_site_fract_x
_atom_site_fract_y
_atom_site_fract_z
Nd1 0.000 0.119 0.250
In1 0.000 0.075 0.750
In2 0.000 0.312 0.048
In3 0.000 0.500 0.000
Ni1 0.000 0.227 0.750
```

For EuZnAu2, a crystal structure in the Materials Project, relaxed with PBE gives the simulated powder XRD pattern in this record (λ = 1.5418 Å (Cu Kα)).
Peak positions follow from Bragg's law for the DFT cell and can differ from measured ones.

Top 10 peaks for 2θ = 10–80°, most intense first:
2θ 35.91, intensity 1000
2θ 64.54, intensity 364
2θ 51.69, intensity 177
2θ 76.12, intensity 114
2θ 25.18, intensity 92
2θ 58.34, intensity 41
2θ 21.76, intensity 39
2θ 44.36, intensity 29
2θ 42.38, intensity 22
2θ 56.72, intensity 9

```
data_EuZnAu2
_symmetry_space_group_name_H-M 'F m -3 m'
_symmetry_Int_Tables_number 225
_symmetry_space_group_name_Hall '-F 4 2 3'
_cell_length_a 7.074
_cell_length_b 7.074
_cell_length_c 7.074
_cell_angle_alpha 90.00
_cell_angle_beta 90.00
_cell_angle_gamma 90.00
loop_
_atom_site_label
_atom_site_fract_x
_atom_site_fract_y
_atom_site_fract_z
Eu1 0.000 0.000 0.000
Zn1 0.000 0.000 0.500
Au1 0.250 0.250 0.250
```

For Ba4Pt3O9, a crystal structure in the Materials Project, relaxed with PBE gives the simulated powder XRD pattern in this record (λ = 1.5418 Å (Cu Kα)).
Peak positions follow from Bragg's law for the DFT cell and can differ from measured ones.

Top 10 peaks for 2θ = 10–80°, most intense first:
2θ 30.39, intensity 1000
2θ 30.20, intensity 942
2θ 17.36, intensity 918
2θ 30.06, intensity 908
2θ 26.71, intensity 781
2θ 40.86, intensity 717
2θ 26.78, intensity 660
2θ 32.27, intensity 491
2θ 41.04, intensity 380
2θ 36.88, intensity 380

```
data_Ba4Pt3O9
_symmetry_space_group_name_H-M 'P 1'
_symmetry_Int_Tables_number 1
_symmetry_space_group_name_Hall 'P 1'
_cell_length_a 8.762
_cell_length_b 10.196
_cell_length_c 10.240
_cell_angle_alpha 60.56
_cell_angle_beta 89.94
_cell_angle_gamma 89.81
loop_
_atom_site_label
_atom_site_fract_x
_atom_site_fract_y
_atom_site_fract_z
Ba1 0.000 0.000 0.000
Ba2 0.000 0.331 0.312
Ba3 0.242 0.663 0.325
Ba4 0.245 0.338 0.992
Ba5 0.251 0.010 0.663
Ba6 0.496 0.028 0.994
Ba7 0.496 0.325 0.337
Ba8 0.498 0.682 0.636
Ba9 0.746 0.010 0.674
Ba10 0.747 0.644 0.326
Ba11 0.748 0.357 0.976
Ba12 0.997 0.705 0.659
Pt1 0.089 0.003 0.335
Pt2 0.162 0.663 0.002
Pt3 0.332 0.340 0.668
Pt4 0.411 0.002 0.336
Pt5 0.500 0.738 0.926
Pt6 0.655 0.338 0.670
Pt7 0.751 0.003 0.257
Pt8 0.840 0.659 0.003
Pt9 0.994 0.415 0.592
O1 0.001 0.663 0.151
O2 0.004 0.518 0.989
O3 0.176 0.336 0.523
O4 0.176 0.495 0.660
O5 0.219 0.175 0.842
O6 0.248 0.997 0.182
O7 0.249 0.855 0.481
O8 0.250 0.152 0.329
O9 0.278 0.493 0.171
O10 0.315 0.668 0.848
O11 0.319 0.809 0.004
O12 0.492 0.493 0.503
O13 0.493 0.191 0.670
O14 0.493 0.353 0.811
O15 0.521 0.004 0.510
O16 0.565 0.152 0.185
O17 0.569 0.855 0.332
O18 0.681 0.805 0.008
O19 0.687 0.670 0.846
O20 0.726 0.481 0.171
O21 0.770 0.169 0.843
O22 0.808 0.496 0.659
O23 0.812 0.330 0.526
O24 0.933 0.854 0.333
O25 0.937 0.149 0.177
O26 0.976 0.012 0.506
O27 0.998 0.824 0.851
```

For Na2Tm2B2TeO10, a crystal structure in the Materials Project, relaxed with PBE gives the simulated powder XRD pattern in this record (λ = 1.5418 Å (Cu Kα)).
Peak positions follow from Bragg's law for the DFT cell and can differ from measured ones.

Top 10 peaks for 2θ = 10–80°, most intense first:
2θ 14.41, intensity 1000
2θ 30.25, intensity 639
2θ 16.97, intensity 416
2θ 27.29, intensity 403
2θ 30.45, intensity 393
2θ 32.18, intensity 384
2θ 27.70, intensity 271
2θ 34.29, intensity 229
2θ 50.11, intensity 210
2θ 28.54, intensity 171

```
data_Na2Tm2B2TeO10
_symmetry_space_group_name_H-M 'P 1 21/c 1'
_symmetry_Int_Tables_number 14
_symmetry_space_group_name_Hall '-P 2ybc'
_cell_length_a 6.326
_cell_length_b 9.935
_cell_length_c 6.730
_cell_angle_alpha 90.00
_cell_angle_beta 103.76
_cell_angle_gamma 90.00
loop_
_atom_site_label
_atom_site_fract_x
_atom_site_fract_y
_atom_site_fract_z
Na1 0.083 0.111 0.167
Tm1 0.373 0.665 0.976
B1 0.163 0.100 0.627
Te1 0.500 0.000 0.000
O1 0.022 0.671 0.947
O2 0.208 0.063 0.837
O3 0.304 0.062 0.509
O4 0.337 0.618 0.637
O5 0.499 0.152 0.180
```